[1]
Starting from the PBE geometry in the Materials Project, the powder XRD pattern of Mg3BeAl8O16 was computed for Cu Kα (weighted mean of Kα1 and Kα2).

Main lines, in order of rising 2θ (2θ = 15–90°):
- d 4.627, I 29.3, hkl 0 0 4
- d 2.621, I 52.4, hkl 1 0 6
- d 2.439, I 100.0, hkl 1 1 4
- d 2.401, I 33.1, hkl 2 0 2
- d 2.064, I 70.6, hkl 2 0 5
- d 1.935, I 38.6, hkl 2 0 6
- d 1.605, I 33.8, hkl 2 1 6
- d 1.484, I 57.9, hkl 2 0 10
- d 1.435, I 87.6, hkl 2 2 0
- d 1.393, I 36.8, hkl 2 0 11

Unit cell a=5.740 b=5.740 c=18.508 alpha=90.00 beta=90.00 gamma=120.00
Element x y z (fractional)
Mg  0.000  0.000  0.000
Mg  0.000  0.000  0.201
Mg  0.000  0.000  0.500
Mg  0.000  0.000  0.701
Mg  0.333  0.667  0.266
Mg  0.667  0.333  0.766
Be  0.333  0.667  0.004
Be  0.667  0.333  0.504
Al  0.003  0.502  0.106
Al  0.167  0.334  0.861
Al  0.167  0.833  0.861
Al  0.333  0.667  0.450
Al  0.333  0.667  0.733
Al  0.334  0.167  0.361
Al  0.498  0.502  0.106
Al  0.498  0.997  0.106
Al  0.502  0.003  0.606
Al  0.502  0.498  0.606
Al  0.666  0.833  0.861
Al  0.667  0.333  0.233
Al  0.667  0.333  0.950
Al  0.833  0.167  0.361
Al  0.833  0.666  0.361
Al  0.997  0.498  0.606
O  0.000  0.000  0.309
O  0.000  0.000  0.809
O  0.039  0.520  0.800
O  0.162  0.324  0.417
O  0.162  0.838  0.417
O  0.186  0.371  0.047
O  0.186  0.372  0.665
O  0.186  0.814  0.047
O  0.186  0.814  0.665
O  0.324  0.162  0.917
O  0.333  0.667  0.161
O  0.333  0.667  0.548
O  0.333  0.667  0.916
O  0.371  0.186  0.547
O  0.372  0.186  0.165
O  0.480  0.520  0.800
O  0.480  0.961  0.800
O  0.520  0.039  0.300
O  0.520  0.480  0.300
O  0.628  0.814  0.665
O  0.629  0.814  0.047
O  0.667  0.333  0.048
O  0.667  0.333  0.416
O  0.667  0.333  0.661
O  0.676  0.838  0.417
O  0.814  0.186  0.165
O  0.814  0.186  0.547
O  0.814  0.628  0.165
O  0.814  0.629  0.547
O  0.838  0.162  0.917
O  0.838  0.676  0.917
O  0.961  0.480  0.300

=====

[2]
Starting from the PBE geometry in the Materials Project, the powder XRD pattern of EuTm2O4 was computed for Cu Kα (weighted mean of Kα1 and Kα2).

Main lines, in order of rising 2θ (2θ = 15–90°):
- d 2.958, I 48.0, hkl 0 0 4
- d 2.897, I 100.0, hkl 3 0 2
- d 2.805, I 67.3, hkl 1 1 2
- d 2.787, I 31.4, hkl 2 1 0
- d 2.478, I 18.4, hkl 1 1 3
- d 2.028, I 36.8, hkl 2 1 4
- d 2.002, I 18.9, hkl 4 1 0
- d 1.696, I 17.7, hkl 3 0 6
- d 1.658, I 17.8, hkl 4 1 4
- d 1.454, I 25.8, hkl 3 2 2

Unit cell a=9.969 b=3.361 c=11.834 alpha=90.00 beta=90.00 gamma=90.00
Element x y z (fractional)
Eu  0.248  0.250  0.149
Eu  0.252  0.750  0.649
Eu  0.748  0.250  0.351
Eu  0.752  0.750  0.851
Tm  0.077  0.250  0.387
Tm  0.077  0.250  0.890
Tm  0.423  0.750  0.390
Tm  0.423  0.750  0.887
Tm  0.577  0.250  0.113
Tm  0.577  0.250  0.610
Tm  0.923  0.750  0.110
Tm  0.923  0.750  0.613
O  0.015  0.750  0.783
O  0.076  0.250  0.577
O  0.125  0.750  0.020
O  0.212  0.750  0.327
O  0.288  0.250  0.827
O  0.375  0.250  0.520
O  0.424  0.750  0.077
O  0.485  0.250  0.283
O  0.515  0.750  0.717
O  0.576  0.250  0.923
O  0.625  0.750  0.480
O  0.712  0.750  0.173
O  0.788  0.250  0.673
O  0.875  0.250  0.980
O  0.924  0.750  0.423
O  0.985  0.250  0.217